Calculated powder X-ray diffraction pattern of Ba2Tl2Zn2Ni3O10 for Cu Kα, 1.54184 Å, from a crystal structure in Alexandria, relaxed with GGA+U.
No peak broadening, texture or thermal motion is included.

Structure:
a = 3.6049 Å, b = 3.6571 Å, c = 42.2398 Å
α = 90.00°, β = 90.00°, γ = 90.00°
Space group Imm2 (No. 44)
Asymmetric unit:
1 Ba 0.0000 0.0000 0.0000 x2
2 Ba 0.0000 0.0000 0.2948 x2
3 Tl 0.0000 0.0000 0.4268 x2
4 Tl 0.0000 0.0000 0.8684 x2
5 Zn 0.0000 0.0000 0.1040 x2
6 Zn 0.0000 0.0000 0.1908 x2
7 Ni 0.0000 0.0000 0.5635 x2
8 Ni 0.0000 0.0000 0.6461 x2
9 Ni 0.0000 0.0000 0.7312 x2
10 O 0.0000 0.0000 0.3760 x2
11 O 0.0000 0.0000 0.4755 x2
12 O 0.0000 0.0000 0.8198 x2
13 O 0.0000 0.0000 0.9193 x2
14 O 0.0000 0.5000 0.0830 x2
15 O 0.0000 0.5000 0.1687 x2
16 O 0.0000 0.5000 0.2526 x2
17 O 0.0000 0.5000 0.5430 x2
18 O 0.0000 0.5000 0.6272 x2
19 O 0.0000 0.5000 0.7131 x2

Most intense lines, 10° ≤ 2θ ≤ 90°, in order of falling intensity:
2theta, I/Imax, hkl
34.95, 100, 1 1 0
28.54, 65, 0 1 7
28.85, 64, 1 0 7
31.00, 59, 0 1 9
31.29, 58, 1 0 9
46.44, 33, 1 1 14
49.53, 31, 1 1 16
29.61, 26, 0 0 14
49.87, 25, 0 2 0
59.14, 25, 2 1 7